PmHo9Sc2: theoretical powder X-ray diffraction pattern (Cu Kα X-rays), based on a DFT-relaxed cell (GGA-PBE, Alexandria).
Intensities are scaled so that the largest is 100.

Main lines, in order of falling intensity (2θ = 10–80°):
2θ/deg, I_rel
32.51, 100
31.95, 91
57.65, 30
46.22, 30
63.49, 29
35.97, 19

```
12
Lattice="11.0174 0.0000 0.0000 -5.5087 9.5414 0.0000 0.0000 0.0000 3.4605" Properties=species:S:1:pos:R:3 pbc="T T T"
Pm 0.0000 0.0000 0.0000
Ho -2.7544 4.7707 0.0000
Ho 0.0000 3.4422 1.7302
Ho -2.5277 7.8203 1.7302
Ho 2.9811 1.7211 1.7302
Ho 5.5087 0.0000 0.0000
Ho 2.7544 4.7707 0.0000
Ho 2.5277 7.8203 1.7302
Ho 8.0364 1.7211 1.7302
Ho 5.5087 6.0991 1.7302
Sc 0.0000 6.3609 0.0000
Sc 5.5087 3.1805 0.0000
```


Ba3Pa2Br2N5: theoretical powder X-ray diffraction pattern (Cu Kα X-rays), based on a DFT-relaxed cell (GGA-PBE, Alexandria).
Intensities are scaled so that the largest is 100.

Main lines, in order of falling intensity (2θ = 10–80°):
2θ/deg, I_rel
30.59, 100
28.30, 73
51.55, 47
40.45, 35
25.88, 29
66.27, 14

```
12
Lattice="-2.2299 2.2299 13.5444 2.2299 -2.2299 13.5444 2.2299 2.2299 -13.5444" Properties=species:S:1:pos:R:3 pbc="T T T"
Ba 0.0000 0.0000 0.0000
Ba 0.0000 0.0000 4.2900
Ba 0.0000 0.0000 22.7987
Pa 0.0000 0.0000 11.3618
Pa 0.0000 0.0000 15.7269
Br 0.0000 0.0000 8.0322
Br 0.0000 0.0000 19.0565
N 2.2299 0.0000 2.4790
N 2.2299 0.0000 11.0653
N 0.0000 0.0000 13.5444
N 0.0000 2.2299 2.4790
N 0.0000 2.2299 11.0653
```


Yb6Pr: theoretical powder X-ray diffraction pattern (Cu Kα X-rays), based on a DFT-relaxed cell (GGA-PBE, Alexandria).
Intensities are scaled so that the largest is 100.

Main lines, in order of falling intensity (2θ = 10–80°):
2θ/deg, I_rel
25.18, 100
38.90, 64
35.91, 44
20.51, 41
41.71, 38
14.46, 30

```
7
Lattice="-4.3311 4.3311 4.3311 4.3311 -4.3311 4.3311 4.3311 4.3311 -4.3311" Properties=species:S:1:pos:R:3 pbc="T T T"
Yb 4.3311 2.1655 0.0000
Yb 4.3311 0.0000 2.1655
Yb 2.1655 4.3311 0.0000
Yb 2.1655 0.0000 4.3311
Yb 0.0000 4.3311 2.1655
Yb 0.0000 2.1655 4.3311
Pr 0.0000 0.0000 0.0000
```